GdTe2: theoretical PXRD pattern (Cu Kα), based on the GGA-PBE geometry in the Materials Project.
Lines closer than 0.1° are merged.

Most intense lines, 2θ from 5° to 70°, in order of rising 2θ:
d [Å]	2θ/deg	Rel. int.
3.123	28.59	26
2.978	30.01	40
2.948	30.32	99
2.559	35.06	100
2.469	36.39	53
2.208	40.87	67
1.774	51.53	35
1.646	55.86	31
1.561	59.18	22
1.380	67.94	19

Cell and atoms:
```
GdTe2
1.0
4.4161 0.0000 0.0000
0.0000 4.4161 0.0000
0.0000 0.0000 8.9335
Gd Te
2 4
Cartesian
1.1040 1.1040 2.0200
3.3121 3.3121 6.9134
1.1040 1.1040 7.7610
1.1040 3.3121 4.4667
3.3121 1.1040 4.4667
3.3121 3.3121 1.1724
```

=====

GdTl9Te6: theoretical PXRD pattern (Cu Kα), based on the GGA-PBE geometry in the Materials Project.
Lines closer than 0.1° are merged.

Most intense lines, 2θ from 5° to 70°, in order of rising 2θ:
d [Å]	2θ/deg	Rel. int.
3.132	28.50	8
2.930	30.50	100
2.896	30.87	13
2.801	31.95	54
2.178	41.47	10
1.981	45.81	9
1.927	47.17	11
1.719	53.28	14
1.539	60.13	19
1.363	68.89	9

Cell and atoms:
```
GdTl9Te6
1.0
-4.4292 4.4292 6.5325
4.4292 -4.4292 6.5325
4.4292 4.4292 -6.5325
Gd Tl Te
1 9 6
Cartesian
0.0000 0.0000 0.0000
3.1873 -1.3639 2.0824
5.7930 -1.2419 4.4501
5.6710 1.3639 2.0824
3.0653 1.2419 4.4501
0.0000 0.0000 6.5325
1.3639 3.1873 2.0824
-1.2419 3.0653 4.4501
-1.3639 5.6710 2.0824
1.2419 5.7930 4.4501
2.8558 1.3342 0.0000
0.0000 0.0000 3.0815
3.0949 -1.5733 6.5325
1.3342 6.0025 0.0000
0.0000 0.0000 9.9836
1.5733 3.0949 6.5325
```